Entry 1:
Calculated powder X-ray diffraction pattern of Li7VP4 for λ = 1.5418 Å (Cu Kα), from a GGA-PBE-relaxed structure.
Intensities are scaled so that the largest is 100.

Cell and atoms:
a b c (Å): 4.599 8.988 9.524
angles (deg): 86.69 77.09 86.73
Element x y z (fractional)
Li 0.000 0.000 0.000
Li 0.005 0.824 0.718
Li 0.355 0.456 0.272
Li 0.364 0.905 0.411
Li 0.385 0.557 0.625
Li 0.408 0.020 0.768
Li 0.442 0.946 0.141
Li 0.478 0.691 0.861
Li 0.523 0.428 0.991
Li 0.708 0.181 0.193
Li 0.799 0.362 0.384
Li 0.895 0.710 0.431
Li 0.918 0.691 0.138
Li 0.925 0.363 0.624
V 0.112 0.284 0.868
V 0.775 0.066 0.514
P 0.275 0.201 0.430
P 0.442 0.275 0.618
P 0.548 0.161 0.948
P 0.551 0.817 0.624
P 0.907 0.100 0.757
P 0.912 0.926 0.260
P 0.983 0.420 0.111
P 0.983 0.559 0.900

Top 8 peaks for 10° ≤ 2θ ≤ 90°, most intense first:
- d 6.301, rel. 100
- d 4.082, rel. 27
- d 3.242, rel. 26
- d 3.873, rel. 26
- d 2.240, rel. 25
- d 4.434, rel. 25
- d 2.201, rel. 23
- d 3.052, rel. 23

Entry 2:
Calculated powder X-ray diffraction pattern of Ti6GaS for λ = 1.5418 Å (Cu Kα), from a GGA-PBE-relaxed structure.
Intensities are scaled so that the largest is 100.

Cell and atoms:
a b c (Å): 5.104 5.245 5.271
angles (deg): 106.94 97.19 97.13
Element x y z (fractional)
Ti 0.119 0.226 0.223
Ti 0.246 0.840 0.451
Ti 0.250 0.447 0.838
Ti 0.750 0.553 0.162
Ti 0.754 0.160 0.549
Ti 0.881 0.774 0.777
Ga 0.500 0.000 0.000
S 0.500 0.500 0.500

Top 8 peaks for 10° ≤ 2θ ≤ 90°, most intense first:
- d 2.396, rel. 100
- d 2.149, rel. 47
- d 2.382, rel. 43
- d 2.392, rel. 41
- d 2.197, rel. 19
- d 2.112, rel. 18
- d 2.203, rel. 18
- d 2.563, rel. 15

Entry 3:
Calculated powder X-ray diffraction pattern of In4Ni15Sn for λ = 1.5418 Å (Cu Kα), from a GGA-PBE-relaxed structure.
Intensities are scaled so that the largest is 100.

Cell and atoms:
a b c (Å): 3.737 3.737 18.738
angles (deg): 90.00 90.00 90.00
Element x y z (fractional)
In 0.000 0.000 0.100
In 0.000 0.000 0.300
In 0.000 0.000 0.700
In 0.000 0.000 0.900
Ni 0.000 0.500 0.000
Ni 0.000 0.500 0.200
Ni 0.000 0.500 0.401
Ni 0.000 0.500 0.599
Ni 0.000 0.500 0.800
Ni 0.500 0.000 0.000
Ni 0.500 0.000 0.200
Ni 0.500 0.000 0.401
Ni 0.500 0.000 0.599
Ni 0.500 0.000 0.800
Ni 0.500 0.500 0.100
Ni 0.500 0.500 0.301
Ni 0.500 0.500 0.500
Ni 0.500 0.500 0.699
Ni 0.500 0.500 0.900
Sn 0.000 0.000 0.500

Top 8 peaks for 10° ≤ 2θ ≤ 90°, most intense first:
- d 2.160, rel. 100
- d 1.869, rel. 31
- d 1.127, rel. 23
- d 1.323, rel. 19
- d 1.874, rel. 16
- d 1.129, rel. 11
- d 1.321, rel. 9
- d 3.741, rel. 9

Entry 4:
Calculated powder X-ray diffraction pattern of Ba4NdBi3O12 for λ = 1.5418 Å (Cu Kα), from a GGA-PBE-relaxed structure.
Intensities are scaled so that the largest is 100.

Cell and atoms:
a b c (Å): 7.687 7.687 7.687
angles (deg): 109.47 109.47 109.47
Element x y z (fractional)
Ba 0.000 0.000 0.500
Ba 0.000 0.500 0.000
Ba 0.500 0.000 0.000
Ba 0.500 0.500 0.500
Nd 0.000 0.000 0.000
Bi 0.000 0.500 0.500
Bi 0.500 0.000 0.500
Bi 0.500 0.500 0.000
O 0.000 0.258 0.258
O 0.000 0.742 0.742
O 0.250 0.500 0.750
O 0.250 0.750 0.500
O 0.258 0.000 0.258
O 0.258 0.258 0.000
O 0.500 0.250 0.750
O 0.500 0.750 0.250
O 0.742 0.000 0.742
O 0.742 0.742 0.000
O 0.750 0.250 0.500
O 0.750 0.500 0.250

Top 8 peaks for 10° ≤ 2θ ≤ 90°, most intense first:
- d 3.138, rel. 100
- d 1.812, rel. 43
- d 2.219, rel. 28
- d 1.186, rel. 23
- d 1.404, rel. 19
- d 1.569, rel. 19
- d 4.438, rel. 7
- d 1.281, rel. 6